Record 1
The following is a calculated powder diffraction line list of Na2Np2Te5. It was derived from DFT lattice parameters and positions (GGA-PBE), using Cu Kα (λ = 1.5418 Å).
Neutral-atom scattering factors, no anomalous dispersion.

Crystal structure
```
Na2Np2Te5
1.0
-2.177 3.674 8.922
2.177 -3.674 8.922
2.177 3.674 -8.922
Na Np Te
2 2 5
Direct
0.229 0.229 0.000 Na
0.771 0.771 0.000 Na
0.219 0.000 0.219 Np
0.781 0.000 0.781 Np
0.100 0.600 0.500 Te
0.356 0.856 0.500 Te
0.500 0.500 0.000 Te
0.644 0.144 0.500 Te
0.900 0.400 0.500 Te
```

Main lines, by angle (2θ = 10–90°):
two_theta, d [Å], I/Imax
31.2, 2.869, 100
31.5, 2.836, 49
32.3, 2.774, 69
32.4, 2.760, 32
35.3, 2.539, 80
41.5, 2.177, 32
56.8, 1.620, 29
66.6, 1.405, 26

---

Record 2
The following is a calculated powder diffraction line list of NaNpTe3. It was derived from DFT lattice parameters and positions (GGA-PBE), using Cu Kα (λ = 1.5418 Å).
Neutral-atom scattering factors, no anomalous dispersion.

Crystal structure
```
NaNpTe3
1.0
8.209 0.000 0.000
-4.104 7.109 0.000
0.000 0.000 10.536
Na Np Te
3 3 9
Direct
0.000 0.000 0.000 Na
0.333 0.667 0.667 Na
0.667 0.333 0.333 Na
0.000 0.000 0.380 Np
0.333 0.667 0.047 Np
0.667 0.333 0.714 Np
0.168 0.337 0.218 Te
0.168 0.832 0.218 Te
0.330 0.165 0.551 Te
0.502 0.003 0.885 Te
0.502 0.498 0.885 Te
0.663 0.832 0.218 Te
0.835 0.165 0.551 Te
0.835 0.670 0.551 Te
0.997 0.498 0.885 Te
```

Main lines, by angle (2θ = 10–90°):
two_theta, d [Å], I/Imax
15.0, 5.893, 100
30.3, 2.947, 62
33.6, 2.668, 35
34.4, 2.604, 27
42.7, 2.116, 22
44.1, 2.052, 24
46.2, 1.964, 15
54.5, 1.684, 12

---

Record 3
The following is a calculated powder diffraction line list of Na2NpTe3. It was derived from DFT lattice parameters and positions (GGA-PBE), using Cu Kα (λ = 1.5418 Å).
Neutral-atom scattering factors, no anomalous dispersion.

Crystal structure
```
Na2NpTe3
1.0
3.981 -6.715 0.000
3.981 6.715 0.000
-2.702 0.000 7.211
Na Np Te
4 2 6
Direct
0.083 0.917 0.750 Na
0.244 0.756 0.250 Na
0.756 0.244 0.750 Na
0.917 0.083 0.250 Na
0.410 0.590 0.750 Np
0.590 0.410 0.250 Np
0.000 0.500 0.500 Te
0.201 0.351 0.997 Te
0.351 0.201 0.497 Te
0.500 0.000 0.000 Te
0.649 0.799 0.503 Te
0.799 0.649 0.003 Te
```

Main lines, by angle (2θ = 10–90°):
two_theta, d [Å], I/Imax
13.6, 6.519, 56
18.1, 4.914, 26
27.7, 3.216, 51
28.2, 3.160, 100
39.5, 2.283, 37
40.3, 2.238, 19
40.5, 2.227, 56
49.6, 1.837, 22

---

Record 4
The following is a calculated powder diffraction line list of Na2Tm2NpTe6. It was derived from DFT lattice parameters and positions (GGA-PBE), using Cu Kα (λ = 1.5418 Å).
Neutral-atom scattering factors, no anomalous dispersion.

Crystal structure
```
Na2Tm2NpTe6
1.0
3.781 -6.543 0.000
3.781 6.543 0.000
-2.526 0.000 7.637
Na Tm Np Te
2 2 1 6
Direct
0.166 0.834 0.000 Na
0.834 0.166 0.000 Na
0.332 0.668 0.500 Tm
0.668 0.332 0.500 Tm
0.000 0.000 0.500 Np
0.078 0.410 0.729 Te
0.259 0.259 0.272 Te
0.410 0.078 0.729 Te
0.590 0.922 0.271 Te
0.741 0.741 0.728 Te
0.922 0.590 0.271 Te
```

Main lines, by angle (2θ = 10–90°):
two_theta, d [Å], I/Imax
11.6, 7.637, 54
23.9, 3.729, 19
28.3, 3.155, 100
39.5, 2.283, 39
41.4, 2.182, 37
50.9, 1.795, 20
64.9, 1.437, 16
67.6, 1.386, 17